Calculated powder diffractogram
Compound: Li2ZrS4
Radiation: copper Kα
Structure: a cell relaxed with PBE

```
14
Lattice="1.853 -6.744 0.000 1.853 6.744 0.000 0.000 0.000 11.688" Properties=species:S:1:pos:R:3 pbc="T T T"
Li 1.853 5.473 6.471
Li 1.853 5.473 11.061
Li 1.853 -5.473 0.627
Li 1.853 -5.473 5.217
Zr 1.853 0.687 8.766
Zr 1.853 -0.687 2.922
S 1.853 5.674 8.766
S 1.853 4.403 1.889
S 1.853 4.403 3.955
S 1.853 0.000 0.000
S 1.853 0.000 5.844
S 1.853 -4.403 7.733
S 1.853 -4.403 9.798
S 1.853 -5.674 2.922
```

The 6 most intense peaks (10 to 90 degrees two-theta), by angle:
- 13.1 deg, d = 6.744 Å, I = 51
- 15.2 deg, d = 5.843 Å, I = 100
- 31.3 deg, d = 2.860 Å, I = 33
- 32.2 deg, d = 2.778 Å, I = 38
- 33.4 deg, d = 2.681 Å, I = 26
- 42.1 deg, d = 2.144 Å, I = 29